Record 1
For Ir5C3, a structure optimized by DFT (GGA-PBE) gives the theoretical powder diffraction line list in this record (CuKα).

Peak list (10 most intense, 2θ from 15° to 90°, by angle)
2θ (°), I/Imax, h k l
25.76, 59, 2 0 0
29.94, 44, 0 0 1
33.67, 30, 0 4 0
33.78, 37, 1 1 1
39.90, 100, 2 0 1
40.01, 28, 3 1 0
42.88, 86, 2 4 0
45.67, 83, 0 4 1
53.18, 35, 2 4 1
78.53, 30, 2 4 2

Structural model:
```
data_Ir5C3
_cell_length_a 6.917
_cell_length_b 10.646
_cell_length_c 2.984
_cell_angle_alpha 90.00
_cell_angle_beta 90.00
_cell_angle_gamma 90.00
_symmetry_space_group_name_H-M 'C m m m'
_symmetry_Int_Tables_number 65
_symmetry_space_group_name_Hall '-C 2 2'
loop_
_atom_site_label
_atom_site_fract_x
_atom_site_fract_y
_atom_site_fract_z
Ir1 0.000 0.000 0.000
Ir2 0.221 0.375 0.500
C1 0.000 0.500 0.500
C2 0.250 0.250 0.000
```

---

Record 2
For MoRh2Pb, a structure optimized by DFT (GGA-PBE) gives the theoretical powder diffraction line list in this record (CuKα).

Peak list (10 most intense, 2θ from 15° to 90°, by angle)
2θ (°), I/Imax, h k l
32.39, 13, 1 0 1
34.19, 6, 0 0 3
38.11, 100, 1 0 2
43.34, 37, 1 1 0
46.15, 12, 0 0 4
62.96, 12, 2 0 0
65.16, 18, 1 1 4
76.02, 27, 2 1 2
80.07, 8, 1 0 6
81.52, 10, 2 0 4

Structural model:
```
data_MoRh2Pb
_cell_length_a 2.953
_cell_length_b 2.953
_cell_length_c 7.868
_cell_angle_alpha 90.00
_cell_angle_beta 90.00
_cell_angle_gamma 90.00
_symmetry_space_group_name_H-M 'P 4/m m m'
_symmetry_Int_Tables_number 123
_symmetry_space_group_name_Hall '-P 4 2'
loop_
_atom_site_label
_atom_site_fract_x
_atom_site_fract_y
_atom_site_fract_z
Mo1 0.000 0.000 0.000
Rh1 0.500 0.500 0.222
Pb1 0.000 0.000 0.500
```

---

Record 3
For Tb2PrScP4, a structure optimized by DFT (GGA-PBE) gives the theoretical powder diffraction line list in this record (CuKα).

Peak list (10 most intense, 2θ from 15° to 90°, by angle)
2θ (°), I/Imax, h k l
26.02, 11, 2 0 -1
27.21, 70, 2 0 0
31.52, 100, 1 1 1
45.16, 48, 0 2 0
45.21, 24, 3 1 -1
53.53, 31, 3 1 1
56.10, 19, 0 0 4
65.80, 11, 2 2 2
74.83, 21, 3 1 -5
83.34, 12, 1 3 -3

Structural model:
```
data_Tb2PrScP4
_cell_length_a 6.943
_cell_length_b 4.020
_cell_length_c 6.953
_cell_angle_alpha 90.00
_cell_angle_beta 109.45
_cell_angle_gamma 90.00
_symmetry_space_group_name_H-M 'P 1 2/m 1'
_symmetry_Int_Tables_number 10
_symmetry_space_group_name_Hall '-P 2y'
loop_
_atom_site_label
_atom_site_fract_x
_atom_site_fract_y
_atom_site_fract_z
Tb1 0.000 0.000 0.000
Tb2 0.500 0.500 0.000
Pr1 0.000 0.500 0.500
Sc1 0.500 0.000 0.500
P1 0.262 0.000 0.752
P2 0.264 0.500 0.257
```

---

Record 4
For HgBi4Pb5, a structure optimized by DFT (GGA-PBE) gives the theoretical powder diffraction line list in this record (CuKα).

Peak list (10 most intense, 2θ from 15° to 90°, by angle)
2θ (°), I/Imax, h k l
27.13, 25, 0 0 2
28.03, 100, 3 1 0
29.93, 45, 1 1 2
32.54, 21, 2 0 2
34.92, 25, 2 3 1
37.24, 22, 2 2 2
39.40, 56, 3 1 2
40.06, 31, 2 4 0
60.57, 19, 5 4 1
63.73, 20, 3 1 4

Structural model:
```
data_HgBi4Pb5
_cell_length_a 10.066
_cell_length_b 10.066
_cell_length_c 6.573
_cell_angle_alpha 90.00
_cell_angle_beta 90.00
_cell_angle_gamma 90.00
_symmetry_space_group_name_H-M 'I 4'
_symmetry_Int_Tables_number 79
_symmetry_space_group_name_Hall 'I 4'
loop_
_atom_site_label
_atom_site_fract_x
_atom_site_fract_y
_atom_site_fract_z
Hg1 0.000 0.000 0.000
Bi1 0.105 0.740 0.272
Pb1 0.000 0.000 0.533
Pb2 0.077 0.676 0.776
```

---

Record 5
For PmZr2S4, a structure optimized by DFT (GGA-PBE) gives the theoretical powder diffraction line list in this record (CuKα).

Peak list (10 most intense, 2θ from 15° to 90°, by angle)
2θ (°), I/Imax, h k l
25.10, 100, 0 2 3
26.11, 33, 1 1 1
28.67, 35, 1 1 2
29.66, 22, 0 4 0
33.65, 67, 1 3 1
35.72, 67, 1 3 2
42.82, 56, 1 1 5
49.31, 23, 2 0 0
49.94, 22, 0 6 3
56.11, 22, 2 2 3

Structural model:
```
data_PmZr2S4
_cell_length_a 3.696
_cell_length_b 12.048
_cell_length_c 13.172
_cell_angle_alpha 90.00
_cell_angle_beta 90.00
_cell_angle_gamma 90.00
_symmetry_space_group_name_H-M 'C m c m'
_symmetry_Int_Tables_number 63
_symmetry_space_group_name_Hall '-C 2c 2'
loop_
_atom_site_label
_atom_site_fract_x
_atom_site_fract_y
_atom_site_fract_z
Pm1 0.000 0.111 0.250
Zr1 0.000 0.356 0.059
S1 0.000 0.000 0.000
S2 0.000 0.280 0.623
S3 0.000 0.439 0.250
```

---

Record 6
For Tl2AgIBr2, a structure optimized by DFT (GGA-PBE) gives the theoretical powder diffraction line list in this record (CuKα).

Peak list (10 most intense, 2θ from 15° to 90°, by angle)
2θ (°), I/Imax, h k l
17.39, 26, 0 2 0
20.19, 100, 3 1 0
24.16, 23, 3 1 1
25.05, 21, 2 2 1
26.44, 76, 0 0 2
32.10, 80, 3 3 0
33.49, 52, 3 1 2
36.87, 31, 6 0 0
42.05, 70, 3 3 2
45.94, 31, 6 0 2

Structural model:
```
data_Tl2AgIBr2
_cell_length_a 14.627
_cell_length_b 10.197
_cell_length_c 6.743
_cell_angle_alpha 90.00
_cell_angle_beta 90.00
_cell_angle_gamma 90.00
_symmetry_space_group_name_H-M 'C m c 21'
_symmetry_Int_Tables_number 36
_symmetry_space_group_name_Hall 'C 2c -2'
loop_
_atom_site_label
_atom_site_fract_x
_atom_site_fract_y
_atom_site_fract_z
Tl1 0.167 0.151 0.000
Ag1 0.000 0.343 0.438
I1 0.000 0.381 0.009
Br1 0.148 0.182 0.508
```

---

Record 7
For Ba5Li4Au4, a structure optimized by DFT (GGA-PBE) gives the theoretical powder diffraction line list in this record (CuKα).

Peak list (10 most intense, 2θ from 15° to 90°, by angle)
2θ (°), I/Imax, h k l
19.30, 31, 2 2 0
24.28, 72, 1 2 1
27.94, 100, 3 0 1
30.74, 48, 2 4 0
31.20, 41, 2 3 1
34.19, 58, 4 1 1
38.12, 31, 0 0 2
39.56, 26, 3 4 1
40.44, 25, 5 3 0
54.95, 27, 2 7 1

Structural model:
```
data_Ba5Li4Au4
_cell_length_a 13.006
_cell_length_b 13.006
_cell_length_c 4.721
_cell_angle_alpha 90.00
_cell_angle_beta 90.00
_cell_angle_gamma 90.00
_symmetry_space_group_name_H-M 'I 4/m'
_symmetry_Int_Tables_number 87
_symmetry_space_group_name_Hall '-I 4'
loop_
_atom_site_label
_atom_site_fract_x
_atom_site_fract_y
_atom_site_fract_z
Ba1 0.000 0.000 0.000
Ba2 0.128 0.210 0.500
Li1 0.068 0.596 0.500
Au1 0.053 0.729 0.000
```

---

Record 8
For BaCd2BiPt, a structure optimized by DFT (GGA-PBE) gives the theoretical powder diffraction line list in this record (CuKα).

Peak list (10 most intense, 2θ from 15° to 90°, by angle)
2θ (°), I/Imax, h k l
16.86, 66, 1 0 0
23.93, 37, 1 1 0
28.76, 77, 1 1 1
31.76, 60, 0 0 2
34.09, 100, 2 0 0
36.17, 21, 1 0 2
47.28, 80, 2 0 2
48.98, 36, 2 2 0
57.80, 21, 3 1 1
59.57, 40, 2 2 2

Structural model:
```
data_BaCd2BiPt
_cell_length_a 5.260
_cell_length_b 5.260
_cell_length_c 5.634
_cell_angle_alpha 90.00
_cell_angle_beta 90.00
_cell_angle_gamma 90.00
_symmetry_space_group_name_H-M 'P 4/m m m'
_symmetry_Int_Tables_number 123
_symmetry_space_group_name_Hall '-P 4 2'
loop_
_atom_site_label
_atom_site_fract_x
_atom_site_fract_y
_atom_site_fract_z
Ba1 0.000 0.000 0.000
Cd1 0.000 0.500 0.500
Bi1 0.500 0.500 0.000
Pt1 0.500 0.500 0.500
```